Diffraction record for Np3ReN7. The PXRD pattern is calculated, not measured: it uses a DFT-relaxed cell (PBE, Alexandria) and copper Kα.
Peak positions follow from Bragg's law for the DFT cell and can differ from measured ones.

Structure:
Cell lengths 7.375, 10.361, 7.352 Å; angles 90.00, 90.00, 90.00 degrees
Space group C222_1 (No. 20)
Inequivalent atoms, fractional coordinates:
Np 0.015 0.000 0.000
Np 0.232 0.269 0.758
Re 0.020 0.500 0.000
N 0.000 0.127 0.250
N 0.000 0.144 0.750
N 0.000 0.434 0.750
N 0.198 0.372 0.045
N 0.219 0.372 0.479

Top 12 peaks for 2θ from 10° to 90°, sorted by position:
2θ (°)  d [Å]  I/Imax
29.8  3.001  100
34.4  2.603  28
34.6  2.590  13
49.4  1.844  6
49.6  1.837  33
58.8  1.571  13
58.9  1.568  15
59.1  1.563  12
61.9  1.499  5
80.6  1.192  7
80.7  1.191  5
83.0  1.163  7

***

Diffraction record for Sm2NpReN6. The PXRD pattern is calculated, not measured: it uses a DFT-relaxed cell (PBE, Alexandria) and copper Kα.
Peak positions follow from Bragg's law for the DFT cell and can differ from measured ones.

Structure:
Cell lengths 5.709, 5.709, 4.343 Å; angles 90.00, 90.00, 90.00 degrees
Space group P4mm (No. 99)
Inequivalent atoms, fractional coordinates:
Sm 0.000 0.500 0.000
Np 0.000 0.000 0.599
Re 0.500 0.500 0.549
N 0.000 0.000 0.113
N 0.261 0.261 0.665
N 0.500 0.500 0.142

Top 12 peaks for 2θ from 10° to 90°, sorted by position:
2θ (°)  d [Å]  I/Imax
20.4  4.343  8
30.2  2.957  100
31.3  2.854  49
41.6  2.171  10
44.9  2.018  24
47.5  1.912  8
53.0  1.728  19
55.1  1.667  38
62.9  1.478  11
73.7  1.285  8
74.3  1.276  9
88.9  1.100  9

***

Diffraction record for TbNpS2N. The PXRD pattern is calculated, not measured: it uses a DFT-relaxed cell (PBE, Alexandria) and copper Kα.
Peak positions follow from Bragg's law for the DFT cell and can differ from measured ones.

Structure:
Cell lengths 3.820, 3.820, 13.822 Å; angles 90.00, 90.00, 90.00 degrees
Space group P4/nmm (No. 129, origin choice 2)
Inequivalent atoms, fractional coordinates:
Tb 0.250 0.250 0.122
Np 0.250 0.250 0.585
S 0.250 0.250 0.311
S 0.250 0.250 0.908
N 0.250 0.750 0.500

Top 12 peaks for 2θ from 10° to 90°, sorted by position:
2θ (°)  d [Å]  I/Imax
12.8  6.911  22
25.8  3.455  24
26.7  3.343  100
30.4  2.941  20
33.2  2.701  61
35.0  2.563  26
40.3  2.239  18
42.5  2.128  31
46.0  1.973  13
47.6  1.910  25
52.2  1.753  14
55.4  1.658  29

***

Diffraction record for ThNpS2N. The PXRD pattern is calculated, not measured: it uses a DFT-relaxed cell (PBE, Alexandria) and copper Kα.
Peak positions follow from Bragg's law for the DFT cell and can differ from measured ones.

Structure:
Cell lengths 3.973, 3.973, 13.820 Å; angles 90.00, 90.00, 90.00 degrees
Space group P4/nmm (No. 129, origin choice 2)
Inequivalent atoms, fractional coordinates:
Th 0.250 0.250 0.087
Np 0.250 0.250 0.611
S 0.250 0.250 0.407
S 0.250 0.250 0.796
N 0.250 0.750 0.000

Top 12 peaks for 2θ from 10° to 90°, sorted by position:
2θ (°)  d [Å]  I/Imax
12.8  6.910  15
25.9  3.446  100
31.9  2.810  45
34.4  2.607  24
41.4  2.180  24
45.5  1.993  9
45.7  1.987  18
51.3  1.781  13
53.2  1.721  35
58.4  1.580  9
72.7  1.301  9
75.7  1.257  8

***

Diffraction record for Np3SbN2. The PXRD pattern is calculated, not measured: it uses a DFT-relaxed cell (PBE, Alexandria) and copper Kα.
Peak positions follow from Bragg's law for the DFT cell and can differ from measured ones.

Structure:
Cell lengths 4.561, 4.561, 11.668 Å; angles 90.00, 90.00, 90.00 degrees
Space group I4/mmm (No. 139)
Inequivalent atoms, fractional coordinates:
Np 0.000 0.000 0.000
Np 0.000 0.500 0.250
Sb 0.000 0.000 0.500
N 0.000 0.000 0.189

Top 12 peaks for 2θ from 10° to 90°, sorted by position:
2θ (°)  d [Å]  I/Imax
20.9  4.248  6
30.6  2.917  29
31.7  2.822  100
39.5  2.280  31
50.8  1.797  29
55.2  1.665  23
57.1  1.612  11
66.2  1.411  13
66.8  1.400  25
77.7  1.229  8
83.4  1.158  15
89.3  1.097  6

***

Diffraction record for Np2Sb2N. The PXRD pattern is calculated, not measured: it uses a DFT-relaxed cell (PBE, Alexandria) and copper Kα.
Peak positions follow from Bragg's law for the DFT cell and can differ from measured ones.

Structure:
Cell lengths 6.489, 12.422, 5.818 Å; angles 90.00, 90.00, 90.00 degrees
Space group Ibam (No. 72)
Inequivalent atoms, fractional coordinates:
Np 0.195 0.093 0.000
Sb 0.166 0.343 0.000
N 0.000 0.000 0.250

Top 12 peaks for 2θ from 10° to 90°, sorted by position:
2θ (°)  d [Å]  I/Imax
25.1  3.553  47
27.5  3.244  48
28.7  3.106  45
30.7  2.909  81
32.4  2.763  68
35.6  2.524  100
38.5  2.338  41
41.7  2.166  36
42.6  2.123  35
57.8  1.595  25
63.7  1.462  57
80.6  1.192  30

***

Diffraction record for ThNpSbN2. The PXRD pattern is calculated, not measured: it uses a DFT-relaxed cell (PBE, Alexandria) and copper Kα.
Peak positions follow from Bragg's law for the DFT cell and can differ from measured ones.

Structure:
Cell lengths 3.942, 3.942, 13.020 Å; angles 90.00, 90.00, 90.00 degrees
Space group I4mm (No. 107)
Inequivalent atoms, fractional coordinates:
Th 0.000 0.000 0.000
Np 0.000 0.000 0.679
Sb 0.000 0.000 0.335
N 0.000 0.500 0.099

Top 12 peaks for 2θ from 10° to 90°, sorted by position:
2θ (°)  d [Å]  I/Imax
23.6  3.773  8
30.6  2.918  100
32.1  2.787  41
41.6  2.170  10
46.1  1.971  18
53.5  1.712  22
56.3  1.633  37
63.8  1.459  12
69.2  1.358  9
75.6  1.258  8
76.4  1.247  7
87.2  1.118  10

***

Diffraction record for NpZnSbN. The PXRD pattern is calculated, not measured: it uses a DFT-relaxed cell (PBE, Alexandria) and copper Kα.
Peak positions follow from Bragg's law for the DFT cell and can differ from measured ones.

Structure:
Cell lengths 4.002, 4.002, 9.709 Å; angles 90.00, 90.00, 90.00 degrees
Space group P4/nmm (No. 129, origin choice 2)
Inequivalent atoms, fractional coordinates:
Np 0.250 0.250 0.109
Zn 0.250 0.750 0.500
Sb 0.250 0.250 0.695
N 0.250 0.750 0.000

Top 12 peaks for 2θ from 10° to 90°, sorted by position:
2θ (°)  d [Å]  I/Imax
28.9  3.088  100
31.6  2.830  30
33.0  2.717  29
35.7  2.516  44
45.3  2.001  31
46.8  1.942  12
49.5  1.842  19
54.7  1.679  35
57.6  1.601  13
59.0  1.566  21
67.2  1.394  16
89.4  1.096  10

***

Diffraction record for Np4Se3N2. The PXRD pattern is calculated, not measured: it uses a DFT-relaxed cell (PBE, Alexandria) and copper Kα.
Peak positions follow from Bragg's law for the DFT cell and can differ from measured ones.

Structure:
Cell lengths 12.726, 9.765, 6.179 Å; angles 90.00, 90.95, 90.00 degrees
Space group C2/c (No. 15)
Inequivalent atoms, fractional coordinates:
Np 0.123 0.180 0.471
Np 0.165 0.424 0.930
Se 0.000 0.402 0.250
Se 0.114 0.129 0.972
N 0.208 0.372 0.585

Top 12 peaks for 2θ from 10° to 90°, sorted by position:
2θ (°)  d [Å]  I/Imax
27.0  3.297  23
27.3  3.267  100
28.0  3.181  64
28.3  3.153  37
28.9  3.089  67
31.8  2.813  47
32.0  2.800  71
34.7  2.582  24
36.5  2.461  57
37.9  2.374  24
41.0  2.200  77
47.9  1.898  29

***

Diffraction record for Np2TeSe2N2. The PXRD pattern is calculated, not measured: it uses a DFT-relaxed cell (PBE, Alexandria) and copper Kα.
Peak positions follow from Bragg's law for the DFT cell and can differ from measured ones.

Structure:
Cell lengths 3.7102, 3.7102, 12.6613 Å; angles 90.00, 90.00, 120.00 degrees
Space group P-3m1 (No. 164)
Inequivalent atoms, fractional coordinates:
Np 0.3333 0.6667 0.2861
Te 0.0000 0.0000 0.5000
Se 0.0000 0.0000 0.1403
N 0.3333 0.6667 0.6892

Top 12 peaks for 2θ from 10° to 90°, sorted by position:
2θ (°)  d [Å]  I/Imax
14.0  6.331  65
28.7  3.114  85
31.2  2.865  62
35.1  2.557  100
35.4  2.532  23
40.0  2.255  30
49.1  1.855  43
51.3  1.780  15
51.8  1.764  26
61.8  1.501  20
62.0  1.496  27
82.7  1.167  18

***

Diffraction record for Sm3Np4N12. The PXRD pattern is calculated, not measured: it uses a DFT-relaxed cell (PBE, Alexandria) and copper Kα.
Peak positions follow from Bragg's law for the DFT cell and can differ from measured ones.

Structure:
Cell lengths 8.276, 8.276, 8.276 Å; angles 90.00, 90.00, 90.00 degrees
Space group Im-3 (No. 204)
Inequivalent atoms, fractional coordinates:
Sm 0.000 0.000 0.500
Np 0.250 0.250 0.250
N 0.000 0.299 0.224

Top 12 peaks for 2θ from 10° to 90°, sorted by position:
2θ (°)  d [Å]  I/Imax
15.1  5.852  8
21.5  4.138  18
26.4  3.379  3
30.6  2.926  100
43.8  2.069  24
49.2  1.851  8
54.3  1.689  44
63.6  1.463  15
68.0  1.379  4
72.2  1.309  18
80.4  1.195  5
88.4  1.106  23

***

Diffraction record for Sm3NpN4. The PXRD pattern is calculated, not measured: it uses a DFT-relaxed cell (PBE, Alexandria) and copper Kα.
Peak positions follow from Bragg's law for the DFT cell and can differ from measured ones.

Structure:
Cell lengths 7.104, 9.960, 3.544 Å; angles 90.00, 90.00, 90.00 degrees
Space group Cmmm (No. 65)
Inequivalent atoms, fractional coordinates:
Sm 0.000 0.000 0.000
Sm 0.250 0.250 0.500
Np 0.000 0.500 0.000
N 0.000 0.268 0.000
N 0.233 0.500 0.500

Top 12 peaks for 2θ from 10° to 90°, sorted by position:
2θ (°)  d [Å]  I/Imax
30.9  2.890  100
35.8  2.509  47
36.1  2.490  23
51.5  1.776  8
51.6  1.772  8
51.7  1.767  32
61.3  1.512  31
61.7  1.504  15
64.4  1.446  8
64.6  1.444  8
84.5  1.147  13
86.9  1.120  11

***

Diffraction record for Sm2Np3N8. The PXRD pattern is calculated, not measured: it uses a DFT-relaxed cell (PBE, Alexandria) and copper Kα.
Peak positions follow from Bragg's law for the DFT cell and can differ from measured ones.

Structure:
Cell lengths 6.9036, 6.9036, 10.2026 Å; angles 90.00, 90.00, 120.00 degrees
Space group P6_3mc (No. 186)
Inequivalent atoms, fractional coordinates:
Sm 0.3333 0.6667 0.0000
Sm 0.3333 0.6667 0.3492
Np 0.1660 0.3320 0.7102
N 0.0000 0.0000 0.3004
N 0.0570 0.5285 0.8227
N 0.1631 0.3262 0.1310
N 0.3333 0.6667 0.6025

Top 12 peaks for 2θ from 10° to 90°, sorted by position:
2θ (°)  d [Å]  I/Imax
17.4  5.101  51
22.9  3.881  21
29.9  2.989  28
30.2  2.956  41
31.2  2.869  100
31.3  2.859  34
40.2  2.245  23
48.4  1.882  26
53.1  1.726  29
54.4  1.685  25
62.8  1.479  20
86.7  1.123  17